# FePd2Pt6
Computed PXRD pattern, Cu Kα (weighted mean of Kα1 and Kα2). Input: a DFT-relaxed cell (PBE, Alexandria).
Lines closer than 0.1° are merged.

Peak list (10 most intense, 15 to 90 degrees two-theta, by intensity)
2θ/deg, I/Imax, index
39.46, 100, 1 1 2
40.97, 58, 3 1 -3
38.66, 53, 4 2 -1
37.34, 45, 1 3 1
42.66, 36, 0 4 1
41.96, 32, 3 1 1
26.17, 22, 2 0 -2
73.23, 19, 5 5 0
16.23, 19, 1 1 -1
71.50, 19, 8 0 -4

Structure:
```
data_FePd2Pt6
_cell_length_a 11.0161
_cell_length_b 9.1435
_cell_length_c 6.8275
_cell_angle_alpha 90.00
_cell_angle_beta 123.98
_cell_angle_gamma 90.00
_symmetry_space_group_name_H-M 'C 1 2/c 1'
_symmetry_Int_Tables_number 15
_symmetry_space_group_name_Hall '-C 2yc'
loop_
_atom_site_label
_atom_site_type_symbol
_atom_site_fract_x
_atom_site_fract_y
_atom_site_fract_z
_atom_site_occupancy
Fe1 Fe 0.0000 0.1737 0.2500 1
Pd1 Pd 0.1921 0.4061 0.4109 1
Pt1 Pt 0.0154 0.3673 0.5711 1
Pt2 Pt 0.0995 0.0817 0.6890 1
Pt3 Pt 0.2028 0.1804 0.1329 1
```


# Pr3YPd3
Computed PXRD pattern, Cu Kα (weighted mean of Kα1 and Kα2). Input: a DFT-relaxed cell (PBE, Alexandria).
Lines closer than 0.1° are merged.

Peak list (10 most intense, 15 to 90 degrees two-theta, by intensity)
2θ/deg, I/Imax, index
34.75, 100, 2 2 -2
29.38, 62, 1 3 1
31.35, 54, 2 0 2
33.23, 52, 0 4 0
31.56, 32, 3 1 -1
41.57, 31, 4 2 0
36.52, 30, 1 3 2
52.91, 24, 0 2 4
37.90, 21, 4 0 0
46.33, 18, 2 4 2

Structure:
```
data_Pr3YPd3
_cell_length_a 9.5015
_cell_length_b 10.7838
_cell_length_c 7.3121
_cell_angle_alpha 90.00
_cell_angle_beta 91.79
_cell_angle_gamma 90.00
_symmetry_space_group_name_H-M 'C 1 2/m 1'
_symmetry_Int_Tables_number 12
_symmetry_space_group_name_Hall '-C 2y'
loop_
_atom_site_label
_atom_site_type_symbol
_atom_site_fract_x
_atom_site_fract_y
_atom_site_fract_z
_atom_site_occupancy
Pr1 Pr 0.0000 0.1759 0.0000 1
Pr2 Pr 0.0000 0.2535 0.5000 1
Pr3 Pr 0.1531 0.5000 0.8711 1
Y1 Y 0.2455 0.5000 0.3752 1
Pd1 Pd 0.0627 0.0000 0.3131 1
Pd2 Pd 0.2389 0.2623 0.2185 1
```


# ZrIn2Si
Computed PXRD pattern, Cu Kα (weighted mean of Kα1 and Kα2). Input: a DFT-relaxed cell (PBE, Alexandria).
Lines closer than 0.1° are merged.

Peak list (10 most intense, 15 to 90 degrees two-theta, by intensity)
2θ/deg, I/Imax, index
36.11, 100, 1 1 2
44.50, 27, 2 0 0
36.39, 24, 0 0 4
58.78, 23, 2 0 4
76.44, 21, 3 1 2
65.29, 17, 1 1 6
17.96, 13, 0 0 2
76.61, 11, 2 2 4
23.63, 10, 1 0 1
64.75, 9, 2 2 0

Structure:
```
data_ZrIn2Si
_cell_length_a 4.0720
_cell_length_b 4.0720
_cell_length_c 9.8766
_cell_angle_alpha 90.00
_cell_angle_beta 90.00
_cell_angle_gamma 90.00
_symmetry_space_group_name_H-M 'I 4/m m m'
_symmetry_Int_Tables_number 139
_symmetry_space_group_name_Hall '-I 4 2'
loop_
_atom_site_label
_atom_site_type_symbol
_atom_site_fract_x
_atom_site_fract_y
_atom_site_fract_z
_atom_site_occupancy
Zr1 Zr 0.0000 0.0000 0.0000 1
In1 In 0.0000 0.5000 0.2500 1
Si1 Si 0.0000 0.0000 0.5000 1
```


# Pm3Rh2Pb4
Computed PXRD pattern, Cu Kα (weighted mean of Kα1 and Kα2). Input: a DFT-relaxed cell (PBE, Alexandria).
Lines closer than 0.1° are merged.

Peak list (10 most intense, 15 to 90 degrees two-theta, by intensity)
2θ/deg, I/Imax, index
31.48, 100, 3 1 0
36.74, 60, 3 1 -3
36.89, 45, 0 2 0
31.87, 31, 1 1 2
32.03, 27, 0 0 3
26.63, 22, 1 1 -2
49.64, 16, 0 2 3
63.10, 14, 3 3 0
23.42, 13, 2 0 1
62.57, 12, 6 2 -3

Structure:
```
data_Pm3Rh2Pb4
_cell_length_a 11.5344
_cell_length_b 4.8736
_cell_length_c 9.2096
_cell_angle_alpha 90.00
_cell_angle_beta 114.45
_cell_angle_gamma 90.00
_symmetry_space_group_name_H-M 'C 1 2/m 1'
_symmetry_Int_Tables_number 12
_symmetry_space_group_name_Hall '-C 2y'
loop_
_atom_site_label
_atom_site_type_symbol
_atom_site_fract_x
_atom_site_fract_y
_atom_site_fract_z
_atom_site_occupancy
Pm1 Pm 0.0000 0.0000 0.0000 1
Pm2 Pm 0.1856 0.5000 0.6192 1
Rh1 Rh 0.0932 0.5000 0.2829 1
Pb1 Pb 0.0103 0.0000 0.3428 1
Pb2 Pb 0.2084 0.5000 0.0713 1
```


What did the first record say?
# FePd2Pt6
Computed PXRD pattern, Cu Kα (weighted mean of Kα1 and Kα2). Input: a DFT-relaxed cell (PBE, Alexandria).
Lines closer than 0.1° are merged.

Peak list (10 most intense, 15 to 90 degrees two-theta, by intensity)
2θ/deg, I/Imax, index
39.46, 100, 1 1 2
40.97, 58, 3 1 -3
38.66, 53, 4 2 -1
37.34, 45, 1 3 1
42.66, 36, 0 4 1
41.96, 32, 3 1 1
26.17, 22, 2 0 -2
73.23, 19, 5 5 0
16.23, 19, 1 1 -1
71.50, 19, 8 0 -4

Structure:
```
data_FePd2Pt6
_cell_length_a 11.0161
_cell_length_b 9.1435
_cell_length_c 6.8275
_cell_angle_alpha 90.00
_cell_angle_beta 123.98
_cell_angle_gamma 90.00
_symmetry_space_group_name_H-M 'C 1 2/c 1'
_symmetry_Int_Tables_number 15
_symmetry_space_group_name_Hall '-C 2yc'
loop_
_atom_site_label
_atom_site_type_symbol
_atom_site_fract_x
_atom_site_fract_y
_atom_site_fract_z
_atom_site_occupancy
Fe1 Fe 0.0000 0.1737 0.2500 1
Pd1 Pd 0.1921 0.4061 0.4109 1
Pt1 Pt 0.0154 0.3673 0.5711 1
Pt2 Pt 0.0995 0.0817 0.6890 1
Pt3 Pt 0.2028 0.1804 0.1329 1
```